Structure and calculated powder diffraction line list of LaAl3Pd2 (DFT lattice parameters and positions (GGA-PBE); Cu Kα X-rays).
Kinematic intensities with the Lorentz-polarization factor, no thermal factor.

Principal peaks in the range 10 to 90 degrees two-theta, in order of rising 2θ:
(0 0 1), d 4.256, rel. 41.7
(1 1 0), d 2.771, rel. 60.8
(1 1 1), d 2.322, rel. 100.0
(0 0 2), d 2.128, rel. 16.7
(1 1 2), d 1.688, rel. 27.4
(3 0 1), d 1.498, rel. 24.8
(1 1 3), d 1.263, rel. 13.9
(2 2 2), d 1.161, rel. 13.9

Atomic structure:
Cell lengths 5.5427, 5.5427, 4.2556 Å; angles 90.00, 90.00, 120.00 degrees
Element x y z (fractional)
La 0.0000 0.0000 0.0000
Al 0.0000 0.5000 0.5000
Al 0.5000 0.0000 0.5000
Al 0.5000 0.5000 0.5000
Pd 0.3333 0.6667 0.0000
Pd 0.6667 0.3333 0.0000